1.
Computed powder diffractogram of RbIO2 for Cu Ka, from a structure optimized by DFT (PBE).

Most intense lines, 2θ = 15–90°, sorted by position:
d_spacing  I/Imax
3.975  25
3.480  100
2.736  23
2.254  34
2.186  27
1.935  9
1.740  14
1.691  24
1.608  9
1.471  8
1.449  15
1.171  7

Structure:
Cell: 7.7400 7.7400 15.8997 Å, 90.00 90.00 90.00°
Space group I4_1/a (No. 88, origin choice 2)
Asymmetric unit:
1 Rb 0.0000 0.0000 0.0000 x8
2 I 0.0000 0.0000 0.5000 x8
3 O 0.0586 0.3240 0.3925 x16

---

2.
Computed powder diffractogram of RbI3O9 for Cu Ka, from a structure optimized by DFT (PBE).

Most intense lines, 2θ = 15–90°, sorted by position:
d_spacing  I/Imax
4.116  18
4.064  23
3.888  19
3.612  27
3.549  32
3.502  18
3.374  42
3.347  30
3.322  100
3.017  20
2.959  29
2.060  19

Structure:
Cell: 7.1144 7.4905 18.3785 Å, 79.48 85.09 71.51°
Space group P-1 (No. 2)
Asymmetric unit:
1 Rb 0.0420 0.0914 0.1721 x2
2 Rb 0.1947 0.1726 0.5047 x2
3 I 0.0167 0.5971 0.3046 x2
4 I 0.0201 0.6388 0.0753 x2
5 I 0.3929 0.8621 0.9687 x2
6 I 0.4398 0.4341 0.8344 x2
7 I 0.4782 0.4924 0.6052 x2
8 I 0.4792 0.0512 0.3009 x2
9 O 0.0126 0.0822 0.3670 x2
10 O 0.0205 0.5310 0.4063 x2
11 O 0.1173 0.1469 0.7038 x2
12 O 0.1521 0.6717 0.1503 x2
13 O 0.1550 0.3971 0.0628 x2
14 O 0.1560 0.7813 0.9914 x2
15 O 0.1622 0.4719 0.8340 x2
16 O 0.2096 0.2057 0.3064 x2
17 O 0.2575 0.0528 0.8975 x2
18 O 0.2754 0.6123 0.2984 x2
19 O 0.3021 0.5183 0.5309 x2
20 O 0.3075 0.4884 0.6858 x2
21 O 0.3471 0.0026 0.0459 x2
22 O 0.4248 0.6839 0.8138 x2
23 O 0.4484 0.4047 0.9356 x2
24 O 0.4515 0.9334 0.2267 x2
25 O 0.4786 0.8767 0.3856 x2
26 O 0.4812 0.7392 0.5944 x2

---

3.
Computed powder diffractogram of Rb2ZrI6O18 for Cu Ka, from a structure optimized by DFT (PBE).

Most intense lines, 2θ = 15–90°, sorted by position:
d_spacing  I/Imax
3.880  23
3.692  55
3.427  63
3.284  100
2.772  41
2.371  21
2.052  11
1.950  19
1.942  20
1.917  15
1.871  22
1.845  17

Structure:
Cell: 11.8726 11.8726 11.8256 Å, 90.00 90.00 120.00°
Space group R-3 (No. 148, hexagonal axes)
Asymmetric unit:
1 Rb 0.0000 0.0000 0.1680 x6
2 Zr 0.0000 0.0000 0.5000 x3
3 I 0.0147 0.6154 0.2808 x18
4 O 0.0417 0.4637 0.8566 x18
5 O 0.0448 0.8880 0.6098 x18
6 O 0.0655 0.5237 0.6245 x18

---

4.
Computed powder diffractogram of SI2O6 for Cu Ka, from a structure optimized by DFT (PBE).

Most intense lines, 2θ = 15–90°, sorted by position:
d_spacing  I/Imax
4.461  100
4.324  10
3.481  85
2.791  38
2.699  44
2.552  10
2.265  12
2.100  11
1.908  12
1.849  12
1.740  10
1.602  14

Structure:
Cell: 15.3295 4.7601 10.5134 Å, 90.00 121.95 90.00°
Space group C2/c (No. 15)
Asymmetric unit:
1 S 0.0000 0.1823 0.2500 x4
2 I 0.1624 0.2976 0.7510 x8
3 O 0.0222 0.3573 0.1527 x8
4 O 0.0907 0.0002 0.3541 x8
5 O 0.2199 0.4757 0.1517 x8

---

5.
Computed powder diffractogram of S2I2O11 for Cu Ka, from a structure optimized by DFT (PBE).

Most intense lines, 2θ = 15–90°, sorted by position:
d_spacing  I/Imax
5.331  47
4.646  18
4.297  10
4.259  100
3.994  16
3.778  16
3.347  12
3.218  12
2.986  31
2.741  18
2.669  15
2.323  12

Structure:
Cell: 9.3594 10.6614 9.3209 Å, 90.00 94.55 90.00°
Space group P2_1/c (No. 14)
Asymmetric unit:
1 S 0.1864 0.1537 0.2197 x4
2 S 0.3051 0.0952 0.7224 x4
3 I 0.1116 0.6671 0.8672 x4
4 I 0.4175 0.7220 0.3671 x4
5 O 0.0797 0.2053 0.1057 x4
6 O 0.0802 0.6606 0.6784 x4
7 O 0.1215 0.0872 0.3334 x4
8 O 0.1795 0.0325 0.6583 x4
9 O 0.2083 0.6717 0.3870 x4
10 O 0.2512 0.2198 0.8085 x4
11 O 0.3045 0.0958 0.1552 x4
12 O 0.3242 0.6166 0.8829 x4
13 O 0.3914 0.0319 0.8364 x4
14 O 0.3917 0.1471 0.6061 x4
15 O 0.4167 0.7129 0.1774 x4